Diffraction record for Mg2Ta2VO8. The X-ray diffraction stick pattern is calculated, not measured: it uses a GGA+U-relaxed structure and λ = 1.5418 Å (Cu Kα).
No peak broadening, texture or thermal motion is included.

Top 8 peaks for 10° ≤ 2θ ≤ 90°, sorted by position:
2θ (°), I (rel.), index
18.4, 66, 4 0 0
23.0, 85, 1 1 1
26.5, 79, 3 1 -1
27.5, 36, 5 1 0
32.4, 100, 5 1 1
34.3, 87, 0 0 2
39.2, 59, 4 0 -2
51.6, 75, 8 0 -2

Structural model:
```
data_Mg2Ta2VO8
_cell_length_a 19.285
_cell_length_b 6.024
_cell_length_c 5.231
_cell_angle_alpha 90.00
_cell_angle_beta 90.00
_cell_angle_gamma 90.00
_space_group_name_H-M_alt 'C 1 2/c 1'
_space_group_IT_number 15
_space_group_name_Hall '-C 2yc'
loop_
_atom_site_label
_atom_site_type_symbol
_atom_site_fract_x
_atom_site_fract_y
_atom_site_fract_z
Mg1 Mg 0.227 0.143 0.246
Ta1 Ta 0.117 0.336 0.745
V1 V 0.000 0.148 0.250
O1 O 0.060 0.126 0.597
O2 O 0.073 0.391 0.079
O3 O 0.187 0.396 0.456
O4 O 0.192 0.146 0.881
```